Structure and calculated powder XRD pattern of LiGa5O8 (a cell relaxed with GGA-PBE; copper Kα).
Intensities are scaled so that the largest is 100.

Most intense lines, 10° ≤ 2θ ≤ 80°, by angle:
2θ = 15.06°, I = 9; 2θ = 23.92°, I = 14; 2θ = 26.24°, I = 10; 2θ = 30.39°, I = 37; 2θ = 35.80°, I = 100; 2θ = 43.52°, I = 12; 2θ = 54.00°, I = 14; 2θ = 57.57°, I = 34; 2θ = 63.23°, I = 43; 2θ = 74.85°, I = 11

Structure:
```
data_LiGa5O8
_chemical_formula_sum 'Li4 Ga20 O32'
_space_group_name_H-M_alt 'P 43 3 2'
_space_group_IT_number 212
_space_group_name_Hall 'P 4acd 2ab 3'
_cell_length_a 8.319
_cell_length_b 8.319
_cell_length_c 8.319
_cell_angle_alpha 90.00
_cell_angle_beta 90.00
_cell_angle_gamma 90.00
loop_
_atom_site_label
_atom_site_type_symbol
_atom_site_fract_x
_atom_site_fract_y
_atom_site_fract_z
Li1 Li 0.125 0.125 0.125
Ga1 Ga 0.004 0.504 0.996
Ga2 Ga 0.115 0.375 0.365
O1 O 0.113 0.387 0.613
O2 O 0.116 0.119 0.873
```

=====

Structure and calculated powder XRD pattern of PaOsClO6 (a cell relaxed with GGA-PBE; copper Kα).
Intensities are scaled so that the largest is 100.

Most intense lines, 10° ≤ 2θ ≤ 80°, by angle:
2θ = 13.40°, I = 100; 2θ = 14.58°, I = 77; 2θ = 26.55°, I = 56; 2θ = 26.98°, I = 54; 2θ = 28.42°, I = 29; 2θ = 29.41°, I = 68; 2θ = 33.55°, I = 24; 2θ = 44.97°, I = 21; 2θ = 46.28°, I = 30; 2θ = 54.68°, I = 22

Structure:
```
data_PaOsClO6
_chemical_formula_sum 'Pa4 Os4 Cl4 O24'
_space_group_name_H-M_alt 'I m m a'
_space_group_IT_number 74
_space_group_name_Hall '-I 2b 2'
_cell_length_a 7.139
_cell_length_b 8.057
_cell_length_c 11.560
_cell_angle_alpha 90.00
_cell_angle_beta 90.00
_cell_angle_gamma 90.00
loop_
_atom_site_label
_atom_site_type_symbol
_atom_site_fract_x
_atom_site_fract_y
_atom_site_fract_z
Pa1 Pa 0.000 0.000 0.000
Os1 Os 0.250 0.250 0.250
Cl1 Cl 0.000 0.250 0.528
O1 O 0.000 0.250 0.309
O2 O 0.000 0.250 0.949
O3 O 0.186 0.087 0.143
```

=====

Structure and calculated powder XRD pattern of MgTc2Ag (a cell relaxed with GGA-PBE; copper Kα).
Intensities are scaled so that the largest is 100.

Most intense lines, 10° ≤ 2θ ≤ 80°, by angle:
2θ = 21.36°, I = 8; 2θ = 28.63°, I = 8; 2θ = 38.22°, I = 29; 2θ = 40.17°, I = 100; 2θ = 43.50°, I = 20; 2θ = 56.93°, I = 9; 2θ = 59.27°, I = 15; 2θ = 70.39°, I = 18; 2θ = 70.65°, I = 9; 2θ = 77.59°, I = 14

Structure:
```
data_MgTc2Ag
_chemical_formula_sum 'Mg1 Tc2 Ag1'
_space_group_name_H-M_alt 'P m m m'
_space_group_IT_number 47
_space_group_name_Hall '-P 2 2'
_cell_length_a 3.235
_cell_length_b 4.161
_cell_length_c 4.710
_cell_angle_alpha 90.00
_cell_angle_beta 90.00
_cell_angle_gamma 90.00
loop_
_atom_site_label
_atom_site_type_symbol
_atom_site_fract_x
_atom_site_fract_y
_atom_site_fract_z
Mg1 Mg 0.000 0.000 0.000
Tc1 Tc 0.000 0.500 0.500
Tc2 Tc 0.500 0.000 0.500
Ag1 Ag 0.500 0.500 0.000
```